Diffraction record for Dy4Er8Tm. The powder diffractogram is theoretical, not measured: it uses a cell relaxed with PBE and copper Kα.
Neutral-atom scattering factors, no anomalous dispersion.

Crystal structure
```
13
Lattice="3.5986 2.0776 9.0259 -3.5986 2.0776 9.0259 0.0000 -4.1553 9.0259" Properties=species:S:1:pos:R:3 pbc="T T T"
Dy 0.0000 0.0000 0.0000
Dy -1.7993 -1.0388 9.0259
Dy -1.7993 1.0388 18.0518
Dy 0.0000 2.0776 9.0259
Er -1.9872 -1.1473 15.3308
Er 0.0000 0.0000 5.8248
Er 0.0000 -2.2946 11.7469
Er -1.9872 1.1473 11.7469
Er 1.9872 -1.1473 15.3308
Er 0.0000 2.2946 15.3308
Er 0.0000 0.0000 21.2529
Er 1.9872 1.1473 11.7469
Tm 0.0000 0.0000 13.5388
```

Principal peaks in the range 10 to 90 degrees two-theta, most intense first:
- 2θ 31.61, I = 1000
- 2θ 33.17, I = 390
- 2θ 50.74, I = 302
- 2θ 39.30, I = 295
- 2θ 29.69, I = 283
- 2θ 59.90, I = 222

Diffraction record for DyEr4Tm5. The powder diffractogram is theoretical, not measured: it uses a cell relaxed with PBE and copper Kα.
Neutral-atom scattering factors, no anomalous dispersion.

Crystal structure
```
10
Lattice="5.3457 0.0000 0.0000 0.0044 6.9253 0.0000 2.6566 0.0009 8.2045" Properties=species:S:1:pos:R:3 pbc="T T T"
Dy 0.0000 0.0000 0.0000
Er 2.6650 0.0032 4.9245
Er 2.6680 1.7406 1.8054
Er 5.3372 1.7417 6.3958
Er 5.3398 3.4695 3.2707
Tm 2.6594 3.4702 8.2016
Tm 2.6676 3.4721 4.9326
Tm 2.6698 5.1955 1.8061
Tm 5.3393 5.1921 6.3964
Tm 5.3376 0.0007 3.2765
```

Principal peaks in the range 10 to 90 degrees two-theta, most intense first:
- 2θ 32.00, I = 1000
- 2θ 31.26, I = 883
- 2θ 33.53, I = 461
- 2θ 33.88, I = 428
- 2θ 48.41, I = 316
- 2θ 63.14, I = 243

Diffraction record for Dy2ErTm. The powder diffractogram is theoretical, not measured: it uses a cell relaxed with PBE and copper Kα.
Neutral-atom scattering factors, no anomalous dispersion.

Crystal structure
```
8
Lattice="5.5634 0.0000 0.0000 0.0000 7.1906 0.0000 0.0000 0.0000 6.2164" Properties=species:S:1:pos:R:3 pbc="T T T"
Dy 1.3908 0.0011 1.0430
Dy 1.3908 3.5942 1.0430
Dy 4.1725 7.1895 5.1734
Dy 4.1725 3.5964 5.1734
Er 1.3908 1.7976 4.1396
Er 4.1725 5.3929 2.0768
Tm 1.3908 5.3929 4.1426
Tm 4.1725 1.7976 2.0738
```

Principal peaks in the range 10 to 90 degrees two-theta, most intense first:
- 2θ 32.99, I = 1000
- 2θ 28.70, I = 240
- 2θ 32.18, I = 237
- 2θ 61.45, I = 225
- 2θ 57.89, I = 202
- 2θ 50.84, I = 199

Diffraction record for Dy5Er2Tm12. The powder diffractogram is theoretical, not measured: it uses a cell relaxed with PBE and copper Kα.
Neutral-atom scattering factors, no anomalous dispersion.

Crystal structure
```
19
Lattice="6.0493 0.0000 0.0000 0.2725 9.8298 0.0000 1.0684 4.1723 9.8222" Properties=species:S:1:pos:R:3 pbc="T T T"
Dy 0.0000 0.0000 0.0000
Dy 1.2320 11.0926 3.3335
Dy 2.8261 5.6698 1.5809
Dy 4.5640 8.3323 8.2413
Dy 6.1581 2.9095 6.4887
Er 2.2784 7.2925 4.3568
Er 5.1117 6.7096 5.4653
Tm 1.3450 9.4412 6.5548
Tm 1.4496 6.1038 7.2652
Tm 0.8122 3.3300 0.2977
Tm 3.4683 11.6624 8.1168
Tm 3.0493 3.8269 4.9677
Tm 3.1479 8.9813 1.4545
Tm 4.2422 5.0208 8.3676
Tm 4.3408 10.1752 4.8545
Tm 3.9218 2.3398 1.7054
Tm 6.5779 10.6722 9.5245
Tm 5.9405 7.8984 2.5570
Tm 6.0451 4.5609 3.2674
```

Principal peaks in the range 10 to 90 degrees two-theta, most intense first:
- 2θ 31.51, I = 1000
- 2θ 32.37, I = 837
- 2θ 33.40, I = 802
- 2θ 28.26, I = 380
- 2θ 30.79, I = 371
- 2θ 33.06, I = 331

Diffraction record for Dy9Er2Tm. The powder diffractogram is theoretical, not measured: it uses a cell relaxed with PBE and copper Kα.
Neutral-atom scattering factors, no anomalous dispersion.

Crystal structure
```
12
Lattice="11.1316 0.0000 0.0000 -5.5658 9.6402 0.0000 0.0000 0.0000 3.4671" Properties=species:S:1:pos:R:3 pbc="T T T"
Dy -2.7829 4.8201 0.0000
Dy 0.0000 3.3855 1.7335
Dy -2.6338 7.9475 1.7335
Dy 2.9319 1.6928 1.7335
Dy 5.5658 0.0000 0.0000
Dy 2.7829 4.8201 0.0000
Dy 2.6338 7.9475 1.7335
Dy 8.1996 1.6928 1.7335
Dy 5.5658 6.2547 1.7335
Er 0.0000 6.4268 0.0000
Er 5.5658 3.2134 0.0000
Tm 0.0000 0.0000 0.0000
```

Principal peaks in the range 10 to 90 degrees two-theta, most intense first:
- 2θ 32.16, I = 1000
- 2θ 31.79, I = 522
- 2θ 63.19, I = 295
- 2θ 30.37, I = 270
- 2θ 57.11, I = 186
- 2θ 45.86, I = 182

Diffraction record for Dy3Er2Tm3. The powder diffractogram is theoretical, not measured: it uses a cell relaxed with PBE and copper Kα.
Neutral-atom scattering factors, no anomalous dispersion.

Crystal structure
```
8
Lattice="4.7055 2.7167 3.2974 -4.7055 2.7167 3.2974 0.0000 -5.4335 3.2974" Properties=species:S:1:pos:R:3 pbc="T T T"
Dy -3.2417 0.1813 3.2974
Dy 1.4638 -2.8980 3.2974
Dy 1.7779 2.7167 3.2974
Er 0.0000 0.0000 1.9433
Er 0.0000 0.0000 7.9488
Tm -1.3524 -2.3425 4.9461
Tm -1.3524 2.3425 4.9461
Tm 2.7048 0.0000 4.9461
```

Principal peaks in the range 10 to 90 degrees two-theta, most intense first:
- 2θ 33.18, I = 1000
- 2θ 32.97, I = 939
- 2θ 47.47, I = 271
- 2θ 59.01, I = 266
- 2θ 30.39, I = 215
- 2θ 28.38, I = 215

Diffraction record for DyEr5Tm7. The powder diffractogram is theoretical, not measured: it uses a cell relaxed with PBE and copper Kα.
Neutral-atom scattering factors, no anomalous dispersion.

Crystal structure
```
13
Lattice="-3.3025 5.4729 5.6745 3.3025 -5.4729 5.6745 3.3025 5.4729 -5.6745" Properties=species:S:1:pos:R:3 pbc="T T T"
Dy 0.0000 0.0000 0.0000
Er 1.5338 2.4843 -2.2119
Er 5.0713 2.4843 -2.2119
Er 3.3025 0.0000 3.4714
Er -1.7688 2.9886 3.4626
Er 1.7688 2.9886 3.4626
Tm 3.3025 1.8665 0.6233
Tm 0.0000 0.0000 3.4843
Tm 0.0000 3.6125 0.6391
Tm 0.0000 0.0000 6.9727
Tm 0.0000 7.3333 0.6391
Tm 0.0000 5.4729 3.4714
Tm 0.0000 3.6064 6.2977
```

Principal peaks in the range 10 to 90 degrees two-theta, most intense first:
- 2θ 35.46, I = 1000
- 2θ 32.16, I = 939
- 2θ 31.53, I = 703
- 2θ 31.64, I = 466
- 2θ 31.34, I = 457
- 2θ 58.74, I = 436

Diffraction record for DyEr4Tm7. The powder diffractogram is theoretical, not measured: it uses a cell relaxed with PBE and copper Kα.
Neutral-atom scattering factors, no anomalous dispersion.

Crystal structure
```
12
Lattice="6.4132 0.0000 0.0000 1.0182 6.6128 0.0000 2.0469 0.4440 8.6326" Properties=species:S:1:pos:R:3 pbc="T T T"
Dy 0.0000 0.0000 0.0000
Er 2.3123 4.2229 2.6785
Er 3.9739 1.5876 6.1546
Er 5.5044 5.4693 2.4780
Er 7.1660 2.8340 5.9541
Tm 0.5091 3.3064 0.0000
Tm 2.1114 0.8915 3.3491
Tm 4.0679 4.9300 5.5455
Tm 3.4575 1.6726 0.4345
Tm 6.0209 5.3842 8.1981
Tm 5.4105 2.1269 3.0871
Tm 7.3670 6.1654 5.2835
```

Principal peaks in the range 10 to 90 degrees two-theta, most intense first:
- 2θ 32.85, I = 1000
- 2θ 32.44, I = 727
- 2θ 32.25, I = 582
- 2θ 31.66, I = 466
- 2θ 31.08, I = 420
- 2θ 33.32, I = 218

Diffraction record for Dy2Er3Tm6. The powder diffractogram is theoretical, not measured: it uses a cell relaxed with PBE and copper Kα.
Neutral-atom scattering factors, no anomalous dispersion.

Crystal structure
```
11
Lattice="2.7806 1.6054 12.6339 -2.7806 1.6054 12.6339 0.0000 -3.2107 12.6339" Properties=species:S:1:pos:R:3 pbc="T T T"
Dy 0.0000 0.0000 1.7250
Dy 0.0000 0.0000 36.1768
Er 0.0000 0.0000 8.8689
Er 0.0000 0.0000 18.9509
Er 0.0000 0.0000 29.0329
Tm 0.0000 0.0000 5.2542
Tm 0.0000 0.0000 12.4282
Tm 0.0000 0.0000 15.7890
Tm 0.0000 0.0000 22.1128
Tm 0.0000 0.0000 25.4735
Tm 0.0000 0.0000 32.6476
```

Principal peaks in the range 10 to 90 degrees two-theta, most intense first:
- 2θ 32.19, I = 1000
- 2θ 31.94, I = 854
- 2θ 57.24, I = 329
- 2θ 45.98, I = 314
- 2θ 57.40, I = 195
- 2θ 76.49, I = 141

Diffraction record for Dy3Er2Tm4. The powder diffractogram is theoretical, not measured: it uses a cell relaxed with PBE and copper Kα.
Neutral-atom scattering factors, no anomalous dispersion.

Crystal structure
```
18
Lattice="8.0354 -5.6999 0.0000 8.0354 5.6999 0.0000 -0.6564 0.0000 5.9847" Properties=species:S:1:pos:R:3 pbc="T T T"
Dy 7.5431 4.5890 4.4885
Dy 4.7614 1.1099 5.4762
Dy 5.0895 -1.1099 2.4838
Dy 10.3249 1.1099 3.5009
Dy 10.6530 -1.1099 0.5085
Dy 7.8713 -4.5890 1.4962
Er 5.9765 4.0950 1.0809
Er 9.7661 4.0950 1.9115
Er 5.6483 -4.0950 4.0732
Er 9.4379 -4.0950 4.9039
Tm 3.2033 1.5994 2.0813
Tm 6.9722 1.6009 2.9056
Tm 2.8751 -1.5994 5.0737
Tm 8.7704 1.6009 0.0868
Tm 6.6440 -1.6009 5.8980
Tm 12.5393 1.5994 0.9110
Tm 8.4422 -1.6009 3.0791
Tm 12.2111 -1.5994 3.9034
```

Principal peaks in the range 10 to 90 degrees two-theta, most intense first:
- 2θ 32.34, I = 1000
- 2θ 30.81, I = 621
- 2θ 31.26, I = 608
- 2θ 31.39, I = 473
- 2θ 38.21, I = 334
- 2θ 38.59, I = 278

Diffraction record for Dy2Er3Tm4. The powder diffractogram is theoretical, not measured: it uses a cell relaxed with PBE and copper Kα.
Neutral-atom scattering factors, no anomalous dispersion.

Crystal structure
```
18
Lattice="7.9645 -5.7069 0.0000 7.9645 5.7069 0.0000 -0.6236 0.0000 6.0169" Properties=species:S:1:pos:R:3 pbc="T T T"
Dy 5.6070 4.0711 4.0845
Dy 9.3866 4.0711 4.9408
Dy 5.9188 -4.0711 1.0761
Dy 9.6984 -4.0711 1.9324
Er 7.8086 4.6038 1.5042
Er 5.0670 1.1058 2.4739
Er 4.7552 -1.1058 5.4823
Er 10.5502 1.1058 0.5346
Er 10.2384 -1.1058 3.5430
Er 7.4968 -4.6038 4.5126
Tm 2.8853 1.6088 5.1000
Tm 6.6129 1.6210 5.9319
Tm 3.1972 -1.6088 2.0916
Tm 8.3807 1.6210 3.0934
Tm 6.9247 -1.6210 2.9235
Tm 12.1082 1.6088 3.9253
Tm 8.6925 -1.6210 0.0849
Tm 12.4201 -1.6088 0.9169
```

Principal peaks in the range 10 to 90 degrees two-theta, most intense first:
- 2θ 32.37, I = 1000
- 2θ 30.69, I = 629
- 2θ 31.51, I = 605
- 2θ 31.35, I = 463
- 2θ 38.10, I = 340
- 2θ 38.78, I = 268

Diffraction record for DyEr12Tm7. The powder diffractogram is theoretical, not measured: it uses a cell relaxed with PBE and copper Kα.
Neutral-atom scattering factors, no anomalous dispersion.

Crystal structure
```
20
Lattice="6.3119 3.6441 4.4791 -6.3119 3.6441 4.4791 0.0000 -7.2883 4.4791" Properties=species:S:1:pos:R:3 pbc="T T T"
Dy 0.0000 0.0000 0.0000
Er -1.6923 -1.4262 4.6551
Er -3.5472 1.1234 5.6125
Er -2.7465 -2.5103 7.8248
Er 0.8007 -3.6337 5.6125
Er -0.3890 2.1787 4.6551
Er 2.0813 -0.7525 4.6551
Er -2.0813 0.7525 8.7822
Er 0.3890 -2.1787 8.7822
Er -0.8007 3.6337 7.8248
Er 2.7465 2.5103 5.6125
Er 3.5472 -1.1234 7.8248
Er 1.6923 1.4262 8.7822
Tm -0.3967 -2.1922 2.0261
Tm -1.7002 1.4397 2.0261
Tm 2.0969 0.7526 2.0261
Tm 0.0000 0.0000 6.7187
Tm -2.0968 -0.7526 11.4112
Tm 1.7002 -1.4397 11.4112
Tm 0.3967 2.1922 11.4112
```

Principal peaks in the range 10 to 90 degrees two-theta, most intense first:
- 2θ 32.39, I = 1000
- 2θ 30.22, I = 607
- 2θ 31.25, I = 423
- 2θ 40.04, I = 315
- 2θ 42.96, I = 241
- 2θ 27.78, I = 196

Q: Number 4 is which compound?
A: Dy5Er2Tm12